Record 1
Structure and theoretical X-ray diffraction stick pattern of KHCO3 (a DFT-relaxed cell (PBE, the Materials Project); λ = 1.5418 Å (Cu Kα)).
Intensities are scaled so that the largest is 100.

```
data_KHCO3
_cell_length_a 3.771
_cell_length_b 5.720
_cell_length_c 15.180
_cell_angle_alpha 90.00
_cell_angle_beta 103.36
_cell_angle_gamma 90.00
_symmetry_space_group_name_H-M 'P 1'
_symmetry_Int_Tables_number 1
loop_
_symmetry_equiv_pos_as_xyz
'x,y,z'
loop_
_atom_site_label
_atom_site_type_symbol
_atom_site_fract_x
_atom_site_fract_y
_atom_site_fract_z
K1 K 0.036 0.023 0.165
K2 K 0.036 0.477 0.665
K3 K 0.964 0.523 0.335
K4 K 0.964 0.977 0.835
H1 H 0.485 0.689 0.013
H2 H 0.485 0.811 0.513
H3 H 0.515 0.189 0.487
H4 H 0.515 0.311 0.987
C1 C 0.385 0.515 0.119
C2 C 0.385 0.985 0.619
C3 C 0.615 0.015 0.381
C4 C 0.615 0.485 0.881
O1 O 0.292 0.533 0.193
O2 O 0.292 0.967 0.693
O3 O 0.430 0.719 0.076
O4 O 0.430 0.781 0.576
O5 O 0.439 0.179 0.581
O6 O 0.439 0.321 0.081
O7 O 0.561 0.679 0.919
O8 O 0.561 0.821 0.419
O9 O 0.570 0.219 0.424
O10 O 0.570 0.281 0.924
O11 O 0.708 0.033 0.307
O12 O 0.708 0.467 0.807
```

Principal peaks in the range 2θ = 10–90°, low angle first:
2θ = 24.10°, rel. 61.2, hkl 0 0 4; 2θ = 29.58°, rel. 100.0, hkl 1 0 2; 2θ = 30.71°, rel. 88.5, hkl 1 1 1; 2θ = 31.05°, rel. 78.2, hkl 1 1 -3; 2θ = 33.60°, rel. 54.6, hkl 0 2 2; 2θ = 37.26°, rel. 38.5, hkl 1 1 3; 2θ = 39.07°, rel. 47.5, hkl 1 0 -6; 2θ = 39.96°, rel. 46.1, hkl 1 2 0; 2θ = 43.97°, rel. 29.8, hkl 1 2 -4; 2θ = 48.82°, rel. 36.3, hkl 0 2 6

Record 2
Structure and theoretical X-ray diffraction stick pattern of KHC2O4 (a DFT-relaxed cell (PBE, the Materials Project); λ = 1.5418 Å (Cu Kα)).
Intensities are scaled so that the largest is 100.

```
data_KHC2O4
_cell_length_a 4.490
_cell_length_b 12.924
_cell_length_c 7.990
_cell_angle_alpha 90.00
_cell_angle_beta 105.46
_cell_angle_gamma 90.00
_symmetry_space_group_name_H-M 'P 1'
_symmetry_Int_Tables_number 1
loop_
_symmetry_equiv_pos_as_xyz
'x,y,z'
loop_
_atom_site_label
_atom_site_type_symbol
_atom_site_fract_x
_atom_site_fract_y
_atom_site_fract_z
K1 K 0.186 0.067 0.273
K2 K 0.186 0.433 0.773
K3 K 0.814 0.567 0.227
K4 K 0.814 0.933 0.727
H1 H 0.140 0.725 0.982
H2 H 0.140 0.775 0.482
H3 H 0.860 0.225 0.518
H4 H 0.860 0.275 0.018
C1 C 0.314 0.152 0.711
C2 C 0.314 0.348 0.211
C3 C 0.403 0.672 0.629
C4 C 0.403 0.828 0.129
C5 C 0.597 0.172 0.871
C6 C 0.597 0.328 0.371
C7 C 0.686 0.652 0.789
C8 C 0.686 0.848 0.289
O1 O 0.132 0.229 0.664
O2 O 0.132 0.271 0.164
O3 O 0.249 0.599 0.552
O4 O 0.249 0.901 0.052
O5 O 0.291 0.064 0.645
O6 O 0.291 0.436 0.145
O7 O 0.345 0.729 0.088
O8 O 0.345 0.771 0.588
O9 O 0.655 0.229 0.412
O10 O 0.655 0.271 0.912
O11 O 0.709 0.564 0.855
O12 O 0.709 0.936 0.355
O13 O 0.751 0.099 0.948
O14 O 0.751 0.401 0.448
O15 O 0.868 0.729 0.836
O16 O 0.868 0.771 0.336
```

Principal peaks in the range 2θ = 10–90°, low angle first:
2θ = 23.10°, rel. 27.0, hkl 0 0 2; 2θ = 24.90°, rel. 77.3, hkl 1 2 -1; 2θ = 27.47°, rel. 100.0, hkl 1 1 -2; 2θ = 29.25°, rel. 31.2, hkl 1 3 0; 2θ = 30.00°, rel. 37.9, hkl 0 4 1; 2θ = 34.75°, rel. 18.7, hkl 1 4 -1; 2θ = 35.08°, rel. 25.2, hkl 1 0 2; 2θ = 40.69°, rel. 17.1, hkl 1 5 0; 2θ = 41.04°, rel. 30.3, hkl 1 3 2; 2θ = 47.73°, rel. 18.6, hkl 2 1 -3